This entry pairs a crystal structure of ZrMo2Se8Cl14O2 with its computed powder diffractogram. Radiation: copper Kα. Structure: the GGA+U geometry in the Materials Project.

Crystal structure
Lattice parameters (Å, degrees): 13.9109 7.4042 15.6983 90.00 104.29 90.00
Fractional positions:
Zr 0.0000 0.0000 0.0000
Zr 0.0000 0.5000 0.5000
Mo 0.4464 0.1916 0.4020
Mo 0.4464 0.3084 0.9020
Mo 0.5536 0.6916 0.0980
Mo 0.5536 0.8084 0.5980
Se 0.1536 0.1160 0.7149
Se 0.1536 0.3840 0.2149
Se 0.1834 0.6319 0.3101
Se 0.1834 0.8681 0.8101
Se 0.2589 0.5068 0.1348
Se 0.2589 0.9932 0.6348
Se 0.2912 0.7467 0.7308
Se 0.2912 0.7533 0.2308
Se 0.7088 0.2467 0.7692
Se 0.7088 0.2533 0.2692
Se 0.7411 0.0068 0.3652
Se 0.7411 0.4932 0.8652
Se 0.8166 0.1319 0.1899
Se 0.8166 0.3681 0.6899
Se 0.8464 0.6160 0.7851
Se 0.8464 0.8840 0.2851
Cl 0.0243 0.1207 0.8573
Cl 0.0243 0.3793 0.3573
Cl 0.0734 0.7125 0.9700
Cl 0.0734 0.7875 0.4700
Cl 0.1699 0.1143 0.0790
Cl 0.1699 0.3857 0.5790
Cl 0.2907 0.0280 0.3781
Cl 0.2907 0.4720 0.8781
Cl 0.3795 0.7236 0.5681
Cl 0.3795 0.7764 0.0681
Cl 0.4531 0.1107 0.2587
Cl 0.4531 0.3893 0.7587
Cl 0.4680 0.1599 0.5604
Cl 0.4680 0.3401 0.0604
Cl 0.5320 0.6599 0.9396
Cl 0.5320 0.8401 0.4396
Cl 0.5469 0.6107 0.2413
Cl 0.5469 0.8893 0.7413
Cl 0.6205 0.2236 0.9319
Cl 0.6205 0.2764 0.4319
Cl 0.7093 0.5280 0.1219
Cl 0.7093 0.9720 0.6219
Cl 0.8301 0.6143 0.4210
Cl 0.8301 0.8857 0.9210
Cl 0.9266 0.2125 0.5300
Cl 0.9266 0.2875 0.0300
Cl 0.9757 0.6207 0.6427
Cl 0.9757 0.8793 0.1427
O 0.3982 0.0971 0.8889
O 0.3982 0.4029 0.3889
O 0.6018 0.5971 0.6111
O 0.6018 0.9029 0.1111

Most intense lines, 15 to 90 degrees two-theta, sorted by position:
| d_spacing | I_rel | hkl |
| --- | --- | --- |
| 5.806 | 64 | 2 0 -2 |
| 5.729 | 100 | 1 1 1 |
| 4.670 | 45 | 1 1 2 |
| 4.506 | 59 | 2 1 1 |
| 3.858 | 19 | 2 1 2 |
| 3.841 | 19 | 3 1 0 |
| 3.508 | 17 | 3 0 2 |
| 3.170 | 24 | 3 1 2 |
| 3.067 | 21 | 4 1 0 |
| 2.627 | 18 | 2 2 -4 |
| 2.321 | 25 | 2 3 -1 |
| 2.212 | 17 | 4 1 -6 |